Structure and computed X-ray powder pattern of Te2Mo3WSe2S4 (a PBE-relaxed structure; Cu Kα, 1.54184 Å).
Kinematic intensities with the Lorentz-polarization factor, no thermal factor.

Crystal structure
```
data_Te2Mo3WSe2S4
_space_group_name_H-M_alt 'P 3 m 1'
_space_group_IT_number 156
_space_group_name_Hall 'P 3 -2"'
_cell_length_a 3.3106
_cell_length_b 3.3106
_cell_length_c 37.6306
_cell_angle_alpha 90.00
_cell_angle_beta 90.00
_cell_angle_gamma 120.00
loop_
_atom_site_label
_atom_site_type_symbol
_atom_site_fract_x
_atom_site_fract_y
_atom_site_fract_z
Te1 Te 0.0000 0.0000 0.0000
Te2 Te 0.0000 0.0000 0.1023
Mo1 Mo 0.0000 0.0000 0.2390
Mo2 Mo 0.0000 0.0000 0.8632
Mo3 Mo 0.3333 0.6667 0.4269
W1 W 0.3333 0.6667 0.0512
Se1 Se 0.0000 0.0000 0.3822
Se2 Se 0.0000 0.0000 0.4715
S1 S 0.3333 0.6667 0.1984
S2 S 0.3333 0.6667 0.2796
S3 S 0.3333 0.6667 0.8227
S4 S 0.3333 0.6667 0.9039
```

Top 8 peaks for 2θ = 10–90°, sorted by position:
2theta	d [Å]	I_rel	h k l
11.76	7.526	100	0 0 5
14.12	6.272	17	0 0 6
31.22	2.865	46	1 0 0
35.49	2.530	15	0 1 7
36.71	2.448	85	1 0 8
38.06	2.365	16	1 0 9
44.48	2.037	44	1 0 13
55.53	1.655	31	1 1 0

Structure and computed X-ray powder pattern of Te2MoW3Se2S4 (a PBE-relaxed structure; Cu Kα, 1.54184 Å).
Kinematic intensities with the Lorentz-polarization factor, no thermal factor.

Crystal structure
```
data_Te2MoW3Se2S4
_space_group_name_H-M_alt 'P 3 m 1'
_space_group_IT_number 156
_space_group_name_Hall 'P 3 -2"'
_cell_length_a 3.3040
_cell_length_b 3.3040
_cell_length_c 37.6615
_cell_angle_alpha 90.00
_cell_angle_beta 90.00
_cell_angle_gamma 120.00
loop_
_atom_site_label
_atom_site_type_symbol
_atom_site_fract_x
_atom_site_fract_y
_atom_site_fract_z
Te1 Te 0.0000 0.0000 0.0000
Te2 Te 0.0000 0.0000 0.1015
Mo1 Mo 0.3333 0.6667 0.0508
W1 W 0.0000 0.0000 0.2386
W2 W 0.0000 0.0000 0.8629
W3 W 0.3333 0.6667 0.4265
Se1 Se 0.0000 0.0000 0.3817
Se2 Se 0.0000 0.0000 0.4713
S1 S 0.3333 0.6667 0.1979
S2 S 0.3333 0.6667 0.2794
S3 S 0.3333 0.6667 0.8221
S4 S 0.3333 0.6667 0.9036
```

Top 8 peaks for 2θ = 10–90°, sorted by position:
2theta	d [Å]	I_rel	h k l
11.75	7.532	100	0 0 5
14.11	6.277	16	0 0 6
31.28	2.859	45	1 0 0
33.50	2.675	14	1 0 5
36.76	2.445	77	1 0 8
44.50	2.036	39	0 1 13
55.64	1.652	24	1 1 0
68.55	1.369	12	0 2 8

Structure and computed X-ray powder pattern of Te2MoW3Se4S2 (a PBE-relaxed structure; Cu Kα, 1.54184 Å).
Kinematic intensities with the Lorentz-polarization factor, no thermal factor.

Crystal structure
```
data_Te2MoW3Se4S2
_space_group_name_H-M_alt 'P 3 m 1'
_space_group_IT_number 156
_space_group_name_Hall 'P 3 -2"'
_cell_length_a 3.3436
_cell_length_b 3.3436
_cell_length_c 38.0548
_cell_angle_alpha 90.00
_cell_angle_beta 90.00
_cell_angle_gamma 120.00
loop_
_atom_site_label
_atom_site_type_symbol
_atom_site_fract_x
_atom_site_fract_y
_atom_site_fract_z
Te1 Te 0.0000 0.0000 0.0000
Te2 Te 0.0000 0.0000 0.1002
Mo1 Mo 0.0000 0.0000 0.4864
W1 W 0.0000 0.0000 0.8622
W2 W 0.3333 0.6667 0.0501
W3 W 0.3333 0.6667 0.6743
Se1 Se 0.0000 0.0000 0.6304
Se2 Se 0.0000 0.0000 0.7183
Se3 Se 0.3333 0.6667 0.4427
Se4 Se 0.3333 0.6667 0.5302
S1 S 0.3333 0.6667 0.8222
S2 S 0.3333 0.6667 0.9022
```

Top 8 peaks for 2θ = 10–90°, sorted by position:
2theta	d [Å]	I_rel	h k l
11.63	7.611	100	0 0 5
13.96	6.342	23	0 0 6
30.90	2.894	37	1 0 0
33.10	2.706	14	1 0 5
36.32	2.473	75	0 1 8
43.98	2.059	43	1 0 13
45.78	1.982	15	1 0 14
54.93	1.672	25	1 1 0

Structure and computed X-ray powder pattern of Te2MoW3Se4S2 (a PBE-relaxed structure; Cu Kα, 1.54184 Å).
Kinematic intensities with the Lorentz-polarization factor, no thermal factor.

Crystal structure
```
data_Te2MoW3Se4S2
_space_group_name_H-M_alt 'P 3 m 1'
_space_group_IT_number 156
_space_group_name_Hall 'P 3 -2"'
_cell_length_a 3.3396
_cell_length_b 3.3396
_cell_length_c 39.6332
_cell_angle_alpha 90.00
_cell_angle_beta 90.00
_cell_angle_gamma 120.00
loop_
_atom_site_label
_atom_site_type_symbol
_atom_site_fract_x
_atom_site_fract_y
_atom_site_fract_z
Te1 Te 0.0000 0.0000 0.0000
Te2 Te 0.0000 0.0000 0.0958
Mo1 Mo 0.6667 0.3333 0.0479
W1 W 0.0000 0.0000 0.2364
W2 W 0.0000 0.0000 0.8595
W3 W 0.6667 0.3333 0.6722
Se1 Se 0.6667 0.3333 0.1941
Se2 Se 0.6667 0.3333 0.2787
Se3 Se 0.6667 0.3333 0.8171
Se4 Se 0.6667 0.3333 0.9017
S1 S 0.0000 0.0000 0.6337
S2 S 0.0000 0.0000 0.7106
```

Top 8 peaks for 2θ = 10–90°, sorted by position:
2theta	d [Å]	I_rel	h k l
11.16	7.927	100	0 0 5
13.40	6.606	16	0 0 6
30.95	2.890	36	1 0 0
32.97	2.717	13	1 0 5
35.96	2.498	61	1 0 8
43.11	2.098	43	0 1 13
44.80	2.023	14	1 0 14
55.00	1.669	23	1 1 0

Structure and computed X-ray powder pattern of Te2MoW3Se2S4 (a PBE-relaxed structure; Cu Kα, 1.54184 Å).
Kinematic intensities with the Lorentz-polarization factor, no thermal factor.

Crystal structure
```
data_Te2MoW3Se2S4
_space_group_name_H-M_alt 'P 3 m 1'
_space_group_IT_number 156
_space_group_name_Hall 'P 3 -2"'
_cell_length_a 3.3073
_cell_length_b 3.3073
_cell_length_c 40.9531
_cell_angle_alpha 90.00
_cell_angle_beta 90.00
_cell_angle_gamma 120.00
loop_
_atom_site_label
_atom_site_type_symbol
_atom_site_fract_x
_atom_site_fract_y
_atom_site_fract_z
Te1 Te 0.0000 0.0000 0.0000
Te2 Te 0.0000 0.0000 0.0934
Mo1 Mo 0.6667 0.3333 0.0467
W1 W 0.0000 0.0000 0.2388
W2 W 0.0000 0.0000 0.8591
W3 W 0.6667 0.3333 0.6725
Se1 Se 0.6667 0.3333 0.1975
Se2 Se 0.6667 0.3333 0.2800
S1 S 0.0000 0.0000 0.6351
S2 S 0.0000 0.0000 0.7100
S3 S 0.6667 0.3333 0.8217
S4 S 0.6667 0.3333 0.8966
```

Top 8 peaks for 2θ = 10–90°, sorted by position:
2theta	d [Å]	I_rel	h k l
10.80	8.191	100	0 0 5
12.97	6.826	17	0 0 6
31.25	2.862	29	1 0 0
33.13	2.704	12	1 0 5
35.93	2.500	46	1 0 8
42.66	2.119	37	0 1 13
44.26	2.047	10	1 0 14
55.58	1.653	17	1 1 0

Structure and computed X-ray powder pattern of TeMoWSe2S (a PBE-relaxed structure; Cu Kα, 1.54184 Å).
Kinematic intensities with the Lorentz-polarization factor, no thermal factor.

Crystal structure
```
data_TeMoWSe2S
_space_group_name_H-M_alt 'P 3 m 1'
_space_group_IT_number 156
_space_group_name_Hall 'P 3 -2"'
_cell_length_a 3.3439
_cell_length_b 3.3439
_cell_length_c 38.0768
_cell_angle_alpha 90.00
_cell_angle_beta 90.00
_cell_angle_gamma 120.00
loop_
_atom_site_label
_atom_site_type_symbol
_atom_site_fract_x
_atom_site_fract_y
_atom_site_fract_z
Te1 Te 0.0000 0.0000 0.0000
Te2 Te 0.0000 0.0000 0.0997
Mo1 Mo 0.0000 0.0000 0.8620
Mo2 Mo 0.6667 0.3333 0.0498
W1 W 0.0000 0.0000 0.2378
W2 W 0.6667 0.3333 0.6741
Se1 Se 0.0000 0.0000 0.6301
Se2 Se 0.0000 0.0000 0.7182
Se3 Se 0.6667 0.3333 0.1938
Se4 Se 0.6667 0.3333 0.2818
S1 S 0.6667 0.3333 0.8222
S2 S 0.6667 0.3333 0.9018
```

Top 8 peaks for 2θ = 10–90°, sorted by position:
2theta	d [Å]	I_rel	h k l
11.62	7.615	100	0 0 5
30.90	2.894	44	1 0 0
33.10	2.707	14	1 0 5
36.31	2.474	86	1 0 8
39.08	2.305	15	0 1 10
43.97	2.059	48	0 1 13
54.92	1.672	28	1 1 0
67.63	1.385	14	0 2 8

Structure and computed X-ray powder pattern of Te2Mo3WSe2S4 (a PBE-relaxed structure; Cu Kα, 1.54184 Å).
Kinematic intensities with the Lorentz-polarization factor, no thermal factor.

Crystal structure
```
data_Te2Mo3WSe2S4
_space_group_name_H-M_alt 'P 3 m 1'
_space_group_IT_number 156
_space_group_name_Hall 'P 3 -2"'
_cell_length_a 3.3115
_cell_length_b 3.3115
_cell_length_c 38.1200
_cell_angle_alpha 90.00
_cell_angle_beta 90.00
_cell_angle_gamma 120.00
loop_
_atom_site_label
_atom_site_type_symbol
_atom_site_fract_x
_atom_site_fract_y
_atom_site_fract_z
Te1 Te 0.0000 0.0000 0.0000
Te2 Te 0.0000 0.0000 0.1010
Mo1 Mo 0.0000 0.0000 0.4869
Mo2 Mo 0.0000 0.0000 0.8626
Mo3 Mo 0.3333 0.6667 0.6748
W1 W 0.3333 0.6667 0.0505
Se1 Se 0.0000 0.0000 0.6308
Se2 Se 0.0000 0.0000 0.7188
S1 S 0.3333 0.6667 0.4468
S2 S 0.3333 0.6667 0.5270
S3 S 0.3333 0.6667 0.8226
S4 S 0.3333 0.6667 0.9027
```

Top 8 peaks for 2θ = 10–90°, sorted by position:
2theta	d [Å]	I_rel	h k l
11.61	7.624	100	0 0 5
13.94	6.353	17	0 0 6
31.20	2.867	40	1 0 0
33.38	2.684	15	1 0 5
36.57	2.457	80	1 0 8
39.31	2.292	18	1 0 10
44.17	2.050	44	0 1 13
55.50	1.656	23	1 1 0

Structure and computed X-ray powder pattern of Te2MoW3Se4S2 (a PBE-relaxed structure; Cu Kα, 1.54184 Å).
Kinematic intensities with the Lorentz-polarization factor, no thermal factor.

Crystal structure
```
data_Te2MoW3Se4S2
_space_group_name_H-M_alt 'P 3 m 1'
_space_group_IT_number 156
_space_group_name_Hall 'P 3 -2"'
_cell_length_a 3.3429
_cell_length_b 3.3429
_cell_length_c 38.6883
_cell_angle_alpha 90.00
_cell_angle_beta 90.00
_cell_angle_gamma 120.00
loop_
_atom_site_label
_atom_site_type_symbol
_atom_site_fract_x
_atom_site_fract_y
_atom_site_fract_z
Te1 Te 0.0000 0.0000 0.0000
Te2 Te 0.0000 0.0000 0.0986
Mo1 Mo 0.0000 0.0000 0.8614
W1 W 0.0000 0.0000 0.4857
W2 W 0.3333 0.6667 0.0493
W3 W 0.3333 0.6667 0.6736
Se1 Se 0.3333 0.6667 0.4425
Se2 Se 0.3333 0.6667 0.5290
Se3 Se 0.3333 0.6667 0.8184
Se4 Se 0.3333 0.6667 0.9045
S1 S 0.0000 0.0000 0.6342
S2 S 0.0000 0.0000 0.7129
```

Top 8 peaks for 2θ = 10–90°, sorted by position:
2theta	d [Å]	I_rel	h k l
11.44	7.738	100	0 0 5
13.73	6.448	20	0 0 6
30.90	2.894	32	1 0 0
33.04	2.711	15	1 0 5
36.16	2.484	70	1 0 8
38.85	2.318	14	1 0 10
43.62	2.075	43	0 1 13
54.94	1.671	23	1 1 0

Structure and computed X-ray powder pattern of Te2MoWSeS (a PBE-relaxed structure; Cu Kα, 1.54184 Å).
Kinematic intensities with the Lorentz-polarization factor, no thermal factor.

Crystal structure
```
data_Te2MoWSeS
_space_group_name_H-M_alt 'P 3 m 1'
_space_group_IT_number 156
_space_group_name_Hall 'P 3 -2"'
_cell_length_a 3.3970
_cell_length_b 3.3970
_cell_length_c 38.7187
_cell_angle_alpha 90.00
_cell_angle_beta 90.00
_cell_angle_gamma 120.00
loop_
_atom_site_label
_atom_site_type_symbol
_atom_site_fract_x
_atom_site_fract_y
_atom_site_fract_z
Te1 Te 0.0000 0.0000 0.0000
Te2 Te 0.0000 0.0000 0.0967
Te3 Te 0.0000 0.0000 0.3754
Te4 Te 0.0000 0.0000 0.4728
Mo1 Mo 0.0000 0.0000 0.2362
Mo2 Mo 0.6667 0.3333 0.0483
W1 W 0.0000 0.0000 0.6120
W2 W 0.6667 0.3333 0.4241
Se1 Se 0.6667 0.3333 0.1936
Se2 Se 0.6667 0.3333 0.2788
S1 S 0.6667 0.3333 0.5730
S2 S 0.6667 0.3333 0.6509
```

Top 8 peaks for 2θ = 10–90°, sorted by position:
2theta	d [Å]	I_rel	h k l
11.43	7.744	100	0 0 5
13.72	6.453	18	0 0 6
30.40	2.940	50	1 0 0
35.72	2.514	95	1 0 8
43.23	2.093	52	0 1 13
44.99	2.015	17	1 0 14
54.00	1.698	35	1 1 0
76.21	1.249	16	1 1 21

Structure and computed X-ray powder pattern of TeMoWSe2S (a PBE-relaxed structure; Cu Kα, 1.54184 Å).
Kinematic intensities with the Lorentz-polarization factor, no thermal factor.

Crystal structure
```
data_TeMoWSe2S
_space_group_name_H-M_alt 'P 3 m 1'
_space_group_IT_number 156
_space_group_name_Hall 'P 3 -2"'
_cell_length_a 3.3462
_cell_length_b 3.3462
_cell_length_c 38.0711
_cell_angle_alpha 90.00
_cell_angle_beta 90.00
_cell_angle_gamma 120.00
loop_
_atom_site_label
_atom_site_type_symbol
_atom_site_fract_x
_atom_site_fract_y
_atom_site_fract_z
Te1 Te 0.0000 0.0000 0.0000
Te2 Te 0.0000 0.0000 0.1002
Mo1 Mo 0.0000 0.0000 0.8622
Mo2 Mo 0.3333 0.6667 0.6744
W1 W 0.0000 0.0000 0.4865
W2 W 0.3333 0.6667 0.0502
Se1 Se 0.0000 0.0000 0.6306
Se2 Se 0.0000 0.0000 0.7182
Se3 Se 0.3333 0.6667 0.4425
Se4 Se 0.3333 0.6667 0.5305
S1 S 0.3333 0.6667 0.8224
S2 S 0.3333 0.6667 0.9021
```

Top 8 peaks for 2θ = 10–90°, sorted by position:
2theta	d [Å]	I_rel	h k l
11.62	7.614	100	0 0 5
13.96	6.345	16	0 0 6
30.86	2.897	37	1 0 0
34.01	2.636	15	0 1 6
36.30	2.475	85	1 0 8
39.06	2.306	23	0 1 10
43.96	2.060	47	0 1 13
54.88	1.673	26	1 1 0

Structure and computed X-ray powder pattern of Te2MoWSeS (a PBE-relaxed structure; Cu Kα, 1.54184 Å).
Kinematic intensities with the Lorentz-polarization factor, no thermal factor.

Crystal structure
```
data_Te2MoWSeS
_space_group_name_H-M_alt 'P 3 m 1'
_space_group_IT_number 156
_space_group_name_Hall 'P 3 -2"'
_cell_length_a 3.3948
_cell_length_b 3.3948
_cell_length_c 38.8174
_cell_angle_alpha 90.00
_cell_angle_beta 90.00
_cell_angle_gamma 120.00
loop_
_atom_site_label
_atom_site_type_symbol
_atom_site_fract_x
_atom_site_fract_y
_atom_site_fract_z
Te1 Te 0.0000 0.0000 0.0000
Te2 Te 0.0000 0.0000 0.0965
Te3 Te 0.0000 0.0000 0.6240
Te4 Te 0.0000 0.0000 0.7210
Mo1 Mo 0.0000 0.0000 0.4846
Mo2 Mo 0.3333 0.6667 0.0483
W1 W 0.0000 0.0000 0.8604
W2 W 0.3333 0.6667 0.6725
Se1 Se 0.3333 0.6667 0.4422
Se2 Se 0.3333 0.6667 0.5271
S1 S 0.3333 0.6667 0.8216
S2 S 0.3333 0.6667 0.8992
```

Top 8 peaks for 2θ = 10–90°, sorted by position:
2theta	d [Å]	I_rel	h k l
11.40	7.763	100	0 0 5
13.69	6.470	20	0 0 6
30.43	2.938	55	1 0 0
35.71	2.514	91	0 1 8
37.02	2.428	18	0 0 16
43.18	2.095	51	1 0 13
44.94	2.017	18	0 1 14
54.03	1.697	33	1 1 0

Structure and computed X-ray powder pattern of Te2Mo3WSe4S2 (a PBE-relaxed structure; Cu Kα, 1.54184 Å).
Kinematic intensities with the Lorentz-polarization factor, no thermal factor.

Crystal structure
```
data_Te2Mo3WSe4S2
_space_group_name_H-M_alt 'P 3 m 1'
_space_group_IT_number 156
_space_group_name_Hall 'P 3 -2"'
_cell_length_a 3.3441
_cell_length_b 3.3441
_cell_length_c 38.0810
_cell_angle_alpha 90.00
_cell_angle_beta 90.00
_cell_angle_gamma 120.00
loop_
_atom_site_label
_atom_site_type_symbol
_atom_site_fract_x
_atom_site_fract_y
_atom_site_fract_z
Te1 Te 0.0000 0.0000 0.0000
Te2 Te 0.0000 0.0000 0.0996
Mo1 Mo 0.0000 0.0000 0.4861
Mo2 Mo 0.3333 0.6667 0.0498
Mo3 Mo 0.3333 0.6667 0.6740
W1 W 0.0000 0.0000 0.8619
Se1 Se 0.0000 0.0000 0.6302
Se2 Se 0.0000 0.0000 0.7178
Se3 Se 0.3333 0.6667 0.8178
Se4 Se 0.3333 0.6667 0.9059
S1 S 0.3333 0.6667 0.4463
S2 S 0.3333 0.6667 0.5260
```

Top 8 peaks for 2θ = 10–90°, sorted by position:
2theta	d [Å]	I_rel	h k l
11.62	7.616	100	0 0 5
13.95	6.347	19	0 0 6
30.90	2.894	52	1 0 0
36.31	2.474	87	1 0 8
37.64	2.390	16	0 1 9
43.97	2.059	52	0 1 13
45.76	1.983	19	1 0 14
54.93	1.672	34	1 1 0